For Ac3Pd2Rh4, a structure optimized by DFT (PBE) gives the calculated powder XRD pattern in this record (Cu Ka).
Lines closer than 0.1° are merged.

Cell and atoms:
Lattice parameters (Å, degrees): 4.4330 4.4330 25.1813 90.00 90.00 120.00
Atoms (fractional coordinates):
1 Ac 0.0000 0.0000 0.0833
2 Ac 0.0000 0.0000 0.2501
3 Ac 0.0000 0.0000 0.4137
4 Ac 0.0000 0.0000 0.5863
5 Ac 0.0000 0.0000 0.7499
6 Ac 0.0000 0.0000 0.9167
7 Pd 0.3333 0.6667 0.5000
8 Pd 0.6667 0.3333 0.1669
9 Pd 0.6667 0.3333 0.5000
10 Pd 0.6667 0.3333 0.8331
11 Rh 0.3333 0.6667 0.0000
12 Rh 0.3333 0.6667 0.1670
13 Rh 0.3333 0.6667 0.3340
14 Rh 0.3333 0.6667 0.6660
15 Rh 0.3333 0.6667 0.8330
16 Rh 0.6667 0.3333 0.0000
17 Rh 0.6667 0.3333 0.3340
18 Rh 0.6667 0.3333 0.6660

Main lines, low angle first (5° ≤ 2θ ≤ 70°):
d = 3.839 Å, 2θ 23.17, rel. 124; d = 2.833 Å, 2θ 31.58, rel. 1000; d = 2.217 Å, 2θ 40.71, rel. 444; d = 2.098 Å, 2θ 43.11, rel. 125; d = 1.841 Å, 2θ 49.50, rel. 36; d = 1.746 Å, 2θ 52.42, rel. 244; d = 1.524 Å, 2θ 60.78, rel. 271; d = 1.371 Å, 2θ 68.41, rel. 221